# 1
Calculated powder diffraction line list
Compound: LiFe5O8
Radiation: λ = 1.5418 Å (Cu Kα)
Structure: a DFT-relaxed cell (GGA+U, the Materials Project)
Kinematic intensities with the Lorentz-polarization factor, no thermal factor.

```
data_LiFe5O8
_chemical_formula_sum 'Li3 Fe15 O24'
_space_group_name_H-M_alt 'R -3 m'
_space_group_IT_number 166
_space_group_name_Hall '-R 3 2"'
_cell_length_a 5.8389
_cell_length_b 5.8389
_cell_length_c 14.2658
_cell_angle_alpha 90.00
_cell_angle_beta 90.00
_cell_angle_gamma 120.00
loop_
_atom_site_label
_atom_site_type_symbol
_atom_site_fract_x
_atom_site_fract_y
_atom_site_fract_z
_atom_site_occupancy
Li1 Li 0.0000 0.0000 0.0000 1
Fe1 Fe 0.0000 0.0000 0.3799 1
Fe2 Fe 0.0000 0.5000 0.5000 1
O1 O 0.0000 0.0000 0.2436 1
O2 O 0.0204 0.5102 0.7589 1
```

The 10 most intense peaks (2θ from 15° to 90°), in order of rising 2θ:
hkl 0 0 3, 2θ 18.7, rel. 22
hkl 0 1 2, 2θ 21.5, rel. 7
hkl 1 0 4, 2θ 30.7, rel. 43
hkl 0 2 1, 2θ 36.1, rel. 100
hkl 0 2 4, 2θ 43.9, rel. 15
hkl 2 1 4, 2θ 54.5, rel. 13
hkl 0 2 7, 2θ 58.1, rel. 32
hkl 2 2 0, 2θ 63.8, rel. 22
hkl 2 0 8, 2θ 63.9, rel. 21
hkl 4 0 1, 2θ 75.5, rel. 9



# 2
Calculated powder diffraction line list
Compound: Li3MnPCO7
Radiation: λ = 1.5418 Å (Cu Kα)
Structure: a DFT-relaxed cell (GGA+U, the Materials Project)
Kinematic intensities with the Lorentz-polarization factor, no thermal factor.

```
data_Li3MnPCO7
_chemical_formula_sum 'Li6 Mn2 P2 C2 O14'
_space_group_name_H-M_alt 'P -1'
_space_group_IT_number 2
_space_group_name_Hall '-P 1'
_cell_length_a 5.032
_cell_length_b 6.870
_cell_length_c 8.736
_cell_angle_alpha 84.10
_cell_angle_beta 86.86
_cell_angle_gamma 82.58
loop_
_atom_site_label
_atom_site_type_symbol
_atom_site_fract_x
_atom_site_fract_y
_atom_site_fract_z
_atom_site_occupancy
Li1 Li 0.043 0.268 0.256 1
Li2 Li 0.208 0.895 0.267 1
Li3 Li 0.371 0.528 0.289 1
Mn1 Mn 0.204 0.254 0.869 1
P1 P 0.333 0.755 0.914 1
C1 C 0.255 0.278 0.561 1
O1 O 0.024 0.295 0.636 1
O2 O 0.165 0.937 0.829 1
O3 O 0.239 0.730 0.088 1
O4 O 0.274 0.573 0.834 1
O5 O 0.275 0.286 0.414 1
O6 O 0.361 0.222 0.095 1
O7 O 0.468 0.252 0.644 1
```

The 10 most intense peaks (2θ from 15° to 90°), in order of rising 2θ:
hkl 0 1 1, 2θ 15.8, rel. 26
hkl 1 0 1, 2θ 20.2, rel. 20
hkl 1 0 -1, 2θ 20.9, rel. 28
hkl 1 1 1, 2θ 22.3, rel. 16
hkl 0 2 0, 2θ 26.3, rel. 100
hkl 1 0 2, 2θ 26.7, rel. 16
hkl 1 0 -2, 2θ 27.8, rel. 37
hkl 2 0 0, 2θ 36.0, rel. 18
hkl 0 0 4, 2θ 41.6, rel. 20
hkl 1 3 0, 2θ 41.8, rel. 14



# 3
Calculated powder diffraction line list
Compound: LiV3OF11
Radiation: λ = 1.5418 Å (Cu Kα)
Structure: a DFT-relaxed cell (GGA+U, the Materials Project)
Kinematic intensities with the Lorentz-polarization factor, no thermal factor.

```
data_LiV3OF11
_chemical_formula_sum 'Li2 V6 O2 F22'
_space_group_name_H-M_alt 'P 1 c 1'
_space_group_IT_number 7
_space_group_name_Hall 'P -2yc'
_cell_length_a 15.380
_cell_length_b 5.240
_cell_length_c 5.412
_cell_angle_alpha 90.00
_cell_angle_beta 100.07
_cell_angle_gamma 90.00
loop_
_atom_site_label
_atom_site_type_symbol
_atom_site_fract_x
_atom_site_fract_y
_atom_site_fract_z
_atom_site_occupancy
Li1 Li 0.000 0.210 0.000 1
V1 V 0.233 0.249 0.034 1
V2 V 0.563 0.250 0.700 1
V3 V 0.890 0.281 0.385 1
O1 O 0.921 0.452 0.679 1
F1 F 0.005 0.143 0.382 1
F2 F 0.115 0.335 0.991 1
F3 F 0.206 0.053 0.720 1
F4 F 0.254 0.444 0.347 1
F5 F 0.345 0.160 0.072 1
F6 F 0.450 0.337 0.658 1
F7 F 0.539 0.055 0.385 1
F8 F 0.587 0.444 0.014 1
F9 F 0.676 0.167 0.737 1
F10 F 0.775 0.329 0.312 1
F11 F 0.874 0.047 0.052 1
```

The 10 most intense peaks (2θ from 15° to 90°), in order of rising 2θ:
hkl 3 0 0, 2θ 17.6, rel. 66
hkl 1 1 1, 2θ 25.2, rel. 100
hkl 1 0 -2, 2θ 33.1, rel. 11
hkl 6 0 0, 2θ 35.6, rel. 9
hkl 2 2 -1, 2θ 39.2, rel. 13
hkl 2 1 2, 2θ 41.6, rel. 8
hkl 1 2 -2, 2θ 48.4, rel. 16
hkl 8 1 -1, 2θ 51.4, rel. 15
hkl 4 2 -2, 2θ 51.8, rel. 11
hkl 9 0 0, 2θ 54.6, rel. 20



# 4
Calculated powder diffraction line list
Compound: VO2F
Radiation: λ = 1.5418 Å (Cu Kα)
Structure: a DFT-relaxed cell (GGA+U, the Materials Project)
Kinematic intensities with the Lorentz-polarization factor, no thermal factor.

```
data_VO2F
_chemical_formula_sum 'V6 O12 F6'
_space_group_name_H-M_alt 'P 1'
_space_group_IT_number 1
_space_group_name_Hall 'P 1'
_cell_length_a 5.136
_cell_length_b 5.152
_cell_length_c 13.019
_cell_angle_alpha 88.84
_cell_angle_beta 89.23
_cell_angle_gamma 60.85
loop_
_atom_site_label
_atom_site_type_symbol
_atom_site_fract_x
_atom_site_fract_y
_atom_site_fract_z
_atom_site_occupancy
V1 V 0.000 0.000 0.000 1
V2 V 0.028 0.035 0.503 1
V3 V 0.333 0.394 0.337 1
V4 V 0.413 0.252 0.833 1
V5 V 0.673 0.647 0.170 1
V6 V 0.777 0.619 0.670 1
O1 O 0.049 0.576 0.255 1
O2 O 0.050 0.401 0.755 1
O3 O 0.131 0.227 0.420 1
O4 O 0.292 0.651 0.422 1
O5 O 0.306 0.074 0.919 1
O6 O 0.397 0.733 0.088 1
O7 O 0.630 0.980 0.751 1
O8 O 0.640 0.400 0.254 1
O9 O 0.725 0.238 0.917 1
O10 O 0.796 0.309 0.587 1
O11 O 0.812 0.906 0.085 1
O12 O 0.957 0.730 0.587 1
F1 F 0.127 0.663 0.921 1
F2 F 0.368 0.903 0.587 1
F3 F 0.461 0.569 0.753 1
F4 F 0.464 0.979 0.252 1
F5 F 0.715 0.058 0.421 1
F6 F 0.980 0.323 0.086 1
```

The 10 most intense peaks (2θ from 15° to 90°), in order of rising 2θ:
hkl 0 1 2, 2θ 23.9, rel. 97
hkl 1 0 2, 2θ 24.1, rel. 100
hkl 1 1 -2, 2θ 24.5, rel. 99
hkl 0 1 -4, 2θ 34.3, rel. 13
hkl 2 1 3, 2θ 40.6, rel. 13
hkl 1 2 -3, 2θ 41.1, rel. 14
hkl 0 2 4, 2θ 48.9, rel. 18
hkl 2 0 4, 2θ 49.3, rel. 20
hkl 2 2 -4, 2θ 50.2, rel. 18
hkl 2 1 -6, 2θ 55.9, rel. 14



# 5
Calculated powder diffraction line list
Compound: LiMnP3H10O14
Radiation: λ = 1.5418 Å (Cu Kα)
Structure: a DFT-relaxed cell (GGA+U, the Materials Project)
Kinematic intensities with the Lorentz-polarization factor, no thermal factor.

```
data_LiMnP3H10O14
_chemical_formula_sum 'Li2 Mn2 P6 H20 O28'
_space_group_name_H-M_alt 'P -1'
_space_group_IT_number 2
_space_group_name_Hall '-P 1'
_cell_length_a 7.507
_cell_length_b 9.553
_cell_length_c 10.248
_cell_angle_alpha 66.57
_cell_angle_beta 75.91
_cell_angle_gamma 88.23
loop_
_atom_site_label
_atom_site_type_symbol
_atom_site_fract_x
_atom_site_fract_y
_atom_site_fract_z
_atom_site_occupancy
Li1 Li 0.028 0.301 0.376 1
Mn1 Mn 0.441 0.550 0.723 1
P1 P 0.016 0.156 0.136 1
P2 P 0.084 0.175 0.714 1
P3 P 0.149 0.661 0.114 1
H1 H 0.208 0.949 0.358 1
H2 H 0.284 0.587 0.446 1
H3 H 0.287 0.377 0.155 1
H4 H 0.299 0.409 0.540 1
H5 H 0.344 0.061 0.967 1
H6 H 0.352 0.215 0.236 1
H7 H 0.396 0.859 0.494 1
H8 H 0.405 0.963 0.251 1
H9 H 0.438 0.755 0.018 1
H10 H 0.488 0.127 0.402 1
O1 O 0.007 0.182 0.271 1
O2 O 0.011 0.183 0.586 1
O3 O 0.065 0.504 0.210 1
O4 O 0.092 0.788 0.175 1
O5 O 0.106 0.002 0.820 1
O6 O 0.121 0.725 0.953 1
O7 O 0.198 0.165 0.031 1
O8 O 0.255 0.268 0.689 1
O9 O 0.320 0.492 0.435 1
O10 O 0.340 0.983 0.338 1
O11 O 0.366 0.660 0.091 1
O12 O 0.387 0.325 0.197 1
O13 O 0.437 0.801 0.585 1
O14 O 0.451 0.999 0.946 1
```

The 10 most intense peaks (2θ from 15° to 90°), in order of rising 2θ:
hkl 1 1 1, 2θ 15.0, rel. 34
hkl 1 -1 0, 2θ 15.3, rel. 33
hkl 1 1 0, 2θ 16.4, rel. 37
hkl 0 2 2, 2θ 21.8, rel. 74
hkl -1 1 2, 2θ 24.1, rel. 86
hkl 1 2 0, 2θ 24.5, rel. 100
hkl -2 1 1, 2θ 28.4, rel. 48
hkl 1 0 3, 2θ 28.9, rel. 33
hkl 2 1 3, 2θ 31.8, rel. 45
hkl 1 -2 2, 2θ 33.5, rel. 33



# 6
Calculated powder diffraction line list
Compound: Eu3FeO6
Radiation: λ = 1.5418 Å (Cu Kα)
Structure: a DFT-relaxed cell (GGA+U, the Materials Project)
Kinematic intensities with the Lorentz-polarization factor, no thermal factor.

```
data_Eu3FeO6
_chemical_formula_sum 'Eu12 Fe4 O24'
_space_group_name_H-M_alt 'C m c 21'
_space_group_IT_number 36
_space_group_name_Hall 'C 2c -2'
_cell_length_a 9.211
_cell_length_b 11.563
_cell_length_c 5.590
_cell_angle_alpha 90.00
_cell_angle_beta 90.00
_cell_angle_gamma 90.00
loop_
_atom_site_label
_atom_site_type_symbol
_atom_site_fract_x
_atom_site_fract_y
_atom_site_fract_z
_atom_site_occupancy
Eu1 Eu 0.000 0.105 0.000 1
Eu2 Eu 0.193 0.393 0.039 1
Fe1 Fe 0.000 0.308 0.575 1
O1 O 0.000 0.287 0.241 1
O2 O 0.000 0.456 0.717 1
O3 O 0.153 0.237 0.749 1
O4 O 0.160 0.015 0.272 1
```

The 10 most intense peaks (2θ from 15° to 90°), in order of rising 2θ:
hkl 1 1 1, 2θ 20.1, rel. 18
hkl 2 2 1, 2θ 29.5, rel. 100
hkl 1 3 1, 2θ 29.8, rel. 38
hkl 3 1 0, 2θ 30.1, rel. 18
hkl 0 0 2, 2θ 32.0, rel. 20
hkl 3 1 2, 2θ 44.5, rel. 24
hkl 0 4 2, 2θ 45.1, rel. 20
hkl 3 5 0, 2θ 49.3, rel. 19
hkl 2 2 3, 2θ 55.5, rel. 14
hkl 5 3 1, 2θ 57.9, rel. 16



# 7
Calculated powder diffraction line list
Compound: Pr3Mn2Sb3O14
Radiation: λ = 1.5418 Å (Cu Kα)
Structure: a DFT-relaxed cell (GGA+U, the Materials Project)
Kinematic intensities with the Lorentz-polarization factor, no thermal factor.

```
data_Pr3Mn2Sb3O14
_chemical_formula_sum 'Pr9 Mn6 Sb9 O42'
_space_group_name_H-M_alt 'R -3 m'
_space_group_IT_number 166
_space_group_name_Hall '-R 3 2"'
_cell_length_a 7.6145
_cell_length_b 7.6145
_cell_length_c 17.8923
_cell_angle_alpha 90.00
_cell_angle_beta 90.00
_cell_angle_gamma 120.00
loop_
_atom_site_label
_atom_site_type_symbol
_atom_site_fract_x
_atom_site_fract_y
_atom_site_fract_z
_atom_site_occupancy
Pr1 Pr 0.0000 0.5000 0.0000 1
Mn1 Mn 0.0000 0.0000 0.0000 1
Mn2 Mn 0.0000 0.0000 0.5000 1
Sb1 Sb 0.0000 0.5000 0.5000 1
O1 O 0.0000 0.0000 0.3848 1
O2 O 0.0372 0.5186 0.6092 1
O3 O 0.0671 0.5335 0.8531 1
```

The 10 most intense peaks (2θ from 15° to 90°), in order of rising 2θ:
hkl 0 1 2, 2θ 16.7, rel. 11
hkl 2 0 2, 2θ 28.9, rel. 100
hkl 0 0 6, 2θ 30.0, rel. 31
hkl 0 2 4, 2θ 33.8, rel. 41
hkl 2 2 0, 2θ 47.8, rel. 34
hkl 2 0 8, 2θ 49.2, rel. 29
hkl 0 4 2, 2θ 56.8, rel. 15
hkl 2 2 6, 2θ 57.4, rel. 27
hkl 0 2 10, 2θ 58.7, rel. 14
hkl 4 2 2, 2θ 77.3, rel. 12